No. 1
Structure and computed PXRD pattern of Sm2Ga2Fe12Co3C (a PBE-relaxed structure; copper Kα).
Peak positions follow from Bragg's law for the DFT cell and can differ from measured ones.

Atomic structure:
Cell lengths 6.5041, 6.5041, 6.4343 Å; angles 97.21, 97.21, 82.95 degrees
Atoms (fractional coordinates):
1 Sm 0.1562 0.1562 0.3584
2 Sm 0.8438 0.8438 0.6416
3 Ga 0.3960 0.3960 0.1027
4 Ga 0.6040 0.6040 0.8973
5 Fe 0.1556 0.1556 0.8489
6 Fe 0.1600 0.6542 0.3427
7 Fe 0.2052 0.5008 0.7076
8 Fe 0.2125 0.7875 0.0000
9 Fe 0.3458 0.8400 0.6573
10 Fe 0.4992 0.7948 0.2924
11 Fe 0.5008 0.2052 0.7076
12 Fe 0.6542 0.1600 0.3427
13 Fe 0.7875 0.2125 0.0000
14 Fe 0.7948 0.4992 0.2924
15 Fe 0.8400 0.3458 0.6573
16 Fe 0.8444 0.8444 0.1511
17 Co 0.0000 0.5000 0.0000
18 Co 0.5000 0.0000 0.0000
19 Co 0.5000 0.5000 0.5000
20 C 0.0000 0.0000 0.0000

Most intense lines, 2θ from 5° to 70°, in order of rising 2θ:
two_theta, intensity
29.77, 27.2
36.20, 38.1
36.47, 20.3
37.59, 31.8
41.95, 32.6
42.26, 100.0
42.43, 59.1
42.77, 19.6
43.11, 22.7
43.27, 40.9

=====

No. 2
Structure and computed PXRD pattern of FeCoH18C6N12 (a PBE-relaxed structure; copper Kα).
Peak positions follow from Bragg's law for the DFT cell and can differ from measured ones.

Atomic structure:
Cell lengths 7.3405, 7.3405, 7.3405 Å; angles 97.62, 97.62, 97.62 degrees
Atoms (fractional coordinates):
1 Fe 0.0000 0.0000 0.0000
2 Co 0.5000 0.5000 0.5000
3 H 0.1600 0.3452 0.4358
4 H 0.2055 0.4491 0.6529
5 H 0.2459 0.5942 0.2733
6 H 0.2733 0.2459 0.5942
7 H 0.3452 0.4358 0.1600
8 H 0.3471 0.7945 0.5509
9 H 0.4058 0.7267 0.7541
10 H 0.4358 0.1600 0.3452
11 H 0.4491 0.6529 0.2055
12 H 0.5509 0.3471 0.7945
13 H 0.5642 0.8400 0.6548
14 H 0.5942 0.2733 0.2459
15 H 0.6529 0.2055 0.4491
16 H 0.6548 0.5642 0.8400
17 H 0.7267 0.7541 0.4058
18 H 0.7541 0.4058 0.7267
19 H 0.7945 0.5509 0.3471
20 H 0.8400 0.6548 0.5642
21 C 0.0491 0.7710 0.8745
22 C 0.1255 0.9509 0.2290
23 C 0.2290 0.1255 0.9509
24 C 0.7710 0.8745 0.0491
25 C 0.8745 0.0491 0.7710
26 C 0.9509 0.2290 0.1255
27 N 0.0752 0.6300 0.7924
28 N 0.2076 0.9248 0.3700
29 N 0.2611 0.3718 0.5513
30 N 0.3700 0.2076 0.9248
31 N 0.3718 0.5513 0.2611
32 N 0.4487 0.7389 0.6282
33 N 0.5513 0.2611 0.3718
34 N 0.6282 0.4487 0.7389
35 N 0.6300 0.7924 0.0752
36 N 0.7389 0.6282 0.4487
37 N 0.7924 0.0752 0.6300
38 N 0.9248 0.3700 0.2076

Most intense lines, 2θ from 5° to 70°, in order of rising 2θ:
two_theta, intensity
16.04, 100.0
18.74, 52.7
24.77, 11.7
29.65, 69.7
37.70, 7.6
41.50, 17.8
43.34, 11.8
44.50, 10.1
47.85, 13.3
68.47, 7.3

=====

No. 3
Structure and computed PXRD pattern of K2FeCoC6N6 (a PBE-relaxed structure; copper Kα).
Peak positions follow from Bragg's law for the DFT cell and can differ from measured ones.

Atomic structure:
Cell lengths 7.1263, 7.1263, 7.1263 Å; angles 60.00, 60.00, 60.00 degrees
Atoms (fractional coordinates):
1 K 0.2500 0.2500 0.2500
2 K 0.7500 0.7500 0.7500
3 Fe 0.0000 0.0000 0.0000
4 Co 0.5000 0.5000 0.5000
5 C 0.1868 0.1868 0.8132
6 C 0.1868 0.8132 0.1868
7 C 0.1868 0.8132 0.8132
8 C 0.8132 0.1868 0.1868
9 C 0.8132 0.1868 0.8132
10 C 0.8132 0.8132 0.1868
11 N 0.3039 0.3039 0.6961
12 N 0.3039 0.6961 0.3039
13 N 0.3039 0.6961 0.6961
14 N 0.6961 0.3039 0.3039
15 N 0.6961 0.3039 0.6961
16 N 0.6961 0.6961 0.3039

Most intense lines, 2θ from 5° to 70°, in order of rising 2θ:
two_theta, intensity
17.60, 43.6
24.99, 100.0
30.73, 6.6
35.63, 55.9
40.01, 5.9
44.02, 25.2
51.28, 25.0
57.87, 28.8
64.01, 5.7
69.84, 22.3

=====

No. 4
Structure and computed PXRD pattern of FeCo2C6N6 (a PBE-relaxed structure; copper Kα).
Peak positions follow from Bragg's law for the DFT cell and can differ from measured ones.

Atomic structure:
Cell lengths 6.9575, 6.9575, 6.9575 Å; angles 60.00, 60.00, 60.00 degrees
Atoms (fractional coordinates):
1 Fe 0.0000 0.0000 0.0000
2 Co 0.2500 0.2500 0.2500
3 Co 0.5000 0.5000 0.5000
4 C 0.1904 0.1904 0.8096
5 C 0.1904 0.8096 0.1904
6 C 0.1904 0.8096 0.8096
7 C 0.8096 0.1904 0.1904
8 C 0.8096 0.1904 0.8096
9 C 0.8096 0.8096 0.1904
10 N 0.3098 0.3098 0.6902
11 N 0.3098 0.6902 0.3098
12 N 0.3098 0.6902 0.6902
13 N 0.6902 0.3098 0.3098
14 N 0.6902 0.3098 0.6902
15 N 0.6902 0.6902 0.3098

Most intense lines, 2θ from 5° to 70°, in order of rising 2θ:
two_theta, intensity
15.60, 34.3
18.03, 80.4
25.61, 100.0
30.12, 20.0
36.53, 60.3
39.94, 9.1
41.02, 11.9
45.14, 24.2
52.62, 26.2
59.41, 31.6

=====

No. 5
Structure and computed PXRD pattern of Sm4Fe31Co3C6 (a PBE-relaxed structure; copper Kα).
Peak positions follow from Bragg's law for the DFT cell and can differ from measured ones.

Atomic structure:
Cell lengths 6.5013, 6.5321, 13.0451 Å; angles 83.61, 83.59, 83.55 degrees
Atoms (fractional coordinates):
1 Sm 0.0000 0.0000 0.0000
2 Sm 0.0003 0.9999 0.5005
3 Sm 0.6909 0.6894 0.8442
4 Sm 0.6919 0.6900 0.3456
5 Fe 0.0010 0.0021 0.7436
6 Fe 0.0025 0.0035 0.2441
7 Fe 0.0026 0.4876 0.0018
8 Fe 0.0031 0.4878 0.5018
9 Fe 0.0611 0.3442 0.3145
10 Fe 0.0614 0.6279 0.1728
11 Fe 0.0616 0.3442 0.8141
12 Fe 0.0625 0.6275 0.6728
13 Fe 0.2492 0.2480 0.6246
14 Fe 0.2499 0.2482 0.1244
15 Fe 0.3430 0.0633 0.8140
16 Fe 0.3437 0.0625 0.3143
17 Fe 0.3451 0.3462 0.4223
18 Fe 0.3447 0.3457 0.9223
19 Fe 0.3447 0.6279 0.0309
20 Fe 0.3445 0.8447 0.1727
21 Fe 0.3451 0.8447 0.6724
22 Fe 0.3457 0.6275 0.5308
23 Fe 0.4394 0.4400 0.7195
24 Fe 0.4393 0.4405 0.2200
25 Fe 0.4873 0.0020 0.5004
26 Fe 0.4875 0.0013 0.0004
27 Fe 0.6272 0.0627 0.6717
28 Fe 0.6279 0.0612 0.1724
29 Fe 0.6285 0.3451 0.5305
30 Fe 0.6289 0.3452 0.0299
31 Fe 0.6870 0.2014 0.3432
32 Fe 0.6870 0.2018 0.8428
33 Fe 0.6874 0.6869 0.1008
34 Fe 0.8442 0.3451 0.1725
35 Fe 0.8446 0.3455 0.6726
36 Co 0.2059 0.6884 0.3443
37 Co 0.2080 0.6880 0.8437
38 Co 0.6888 0.6883 0.6032
39 C 0.3452 0.8438 0.4219
40 C 0.3450 0.8444 0.9219
41 C 0.8444 0.3453 0.4222
42 C 0.8442 0.8443 0.6724
43 C 0.8449 0.3451 0.9219
44 C 0.8448 0.8442 0.1726

Most intense lines, 2θ from 5° to 70°, in order of rising 2θ:
two_theta, intensity
29.71, 49.9
31.01, 18.3
35.80, 58.7
37.43, 49.5
41.56, 77.4
41.62, 38.4
42.02, 100.0
42.13, 49.5
43.47, 64.6
61.27, 20.2

=====

No. 6
Structure and computed PXRD pattern of Sm2Fe5Co12C (a PBE-relaxed structure; copper Kα).
Peak positions follow from Bragg's law for the DFT cell and can differ from measured ones.

Atomic structure:
Cell lengths 6.4139, 6.4139, 6.3596 Å; angles 96.16, 96.16, 83.64 degrees
Atoms (fractional coordinates):
1 Sm 0.1575 0.1575 0.3580
2 Sm 0.8425 0.8425 0.6420
3 Fe 0.0000 0.5000 0.0000
4 Fe 0.4042 0.4042 0.0973
5 Fe 0.5000 0.0000 0.0000
6 Fe 0.5000 0.5000 0.5000
7 Fe 0.5958 0.5958 0.9027
8 Co 0.1535 0.1535 0.8556
9 Co 0.1586 0.6456 0.3479
10 Co 0.2180 0.4998 0.7173
11 Co 0.2176 0.7824 0.0000
12 Co 0.3544 0.8414 0.6521
13 Co 0.4998 0.2180 0.7173
14 Co 0.5002 0.7820 0.2827
15 Co 0.6456 0.1586 0.3479
16 Co 0.7824 0.2176 0.0000
17 Co 0.7820 0.5002 0.2827
18 Co 0.8414 0.3544 0.6521
19 Co 0.8465 0.8465 0.1444
20 C 0.0000 0.0000 0.0000

Most intense lines, 2θ from 5° to 70°, in order of rising 2θ:
two_theta, intensity
30.26, 52.0
36.45, 75.5
38.29, 53.0
42.26, 46.3
42.37, 91.2
42.75, 100.0
42.95, 58.2
43.12, 31.0
44.48, 60.5
48.01, 28.0

=====

No. 7
Structure and computed PXRD pattern of Sm4Fe27Co7C2 (a PBE-relaxed structure; copper Kα).
Peak positions follow from Bragg's law for the DFT cell and can differ from measured ones.

Atomic structure:
Cell lengths 6.4824, 6.4824, 12.9092 Å; angles 96.44, 96.44, 83.56 degrees
Atoms (fractional coordinates):
1 Sm 0.0000 0.0000 0.0000
2 Sm 0.9996 0.9996 0.5004
3 Sm 0.6772 0.6772 0.1480
4 Sm 0.6771 0.6771 0.6484
5 Fe 0.0502 0.3379 0.1808
6 Fe 0.0504 0.3384 0.6812
7 Fe 0.0509 0.6252 0.8244
8 Fe 0.0526 0.6242 0.3245
9 Fe 0.1874 0.6786 0.1533
10 Fe 0.1878 0.6790 0.6538
11 Fe 0.2428 0.2428 0.3719
12 Fe 0.3373 0.6266 0.9676
13 Fe 0.3379 0.0502 0.1808
14 Fe 0.3384 0.0504 0.6812
15 Fe 0.3383 0.6263 0.4681
16 Fe 0.4306 0.4306 0.7781
17 Fe 0.4332 0.4332 0.2770
18 Fe 0.4869 0.9987 0.9940
19 Fe 0.4885 0.9975 0.4952
20 Fe 0.6242 0.0526 0.3245
21 Fe 0.6252 0.0509 0.8244
22 Fe 0.6263 0.3383 0.4681
23 Fe 0.6266 0.3373 0.9676
24 Fe 0.6786 0.1874 0.1533
25 Fe 0.6790 0.1878 0.6538
26 Fe 0.6801 0.6801 0.8993
27 Fe 0.6805 0.6805 0.3985
28 Fe 0.9955 0.9955 0.2500
29 Fe 0.9972 0.9972 0.7509
30 Fe 0.9975 0.4885 0.4952
31 Fe 0.9987 0.4869 0.9940
32 Co 0.2432 0.2432 0.8718
33 Co 0.3382 0.3382 0.0741
34 Co 0.3383 0.3383 0.5746
35 Co 0.3382 0.8385 0.3245
36 Co 0.3383 0.8380 0.8243
37 Co 0.8385 0.3382 0.3245
38 Co 0.8380 0.3383 0.8243
39 C 0.8382 0.8382 0.3244
40 C 0.8383 0.8383 0.8243

Most intense lines, 2θ from 5° to 70°, in order of rising 2θ:
two_theta, intensity
29.90, 34.2
36.07, 47.6
37.70, 32.7
41.89, 83.2
42.35, 100.0
42.50, 20.3
43.78, 38.9
47.50, 16.1
61.76, 16.4
62.13, 15.2

=====

No. 8
Structure and computed PXRD pattern of Sm2Fe15Co2C3 (a PBE-relaxed structure; copper Kα).
Peak positions follow from Bragg's law for the DFT cell and can differ from measured ones.

Atomic structure:
Cell lengths 6.5145, 6.5145, 6.5332 Å; angles 96.23, 96.23, 83.70 degrees
Atoms (fractional coordinates):
1 Sm 0.0000 0.0000 0.0000
2 Sm 0.6919 0.6919 0.3083
3 Fe 0.0021 0.4873 0.9962
4 Fe 0.0041 0.0041 0.5119
5 Fe 0.0614 0.6294 0.6538
6 Fe 0.0620 0.3454 0.3705
7 Fe 0.2502 0.2502 0.7500
8 Fe 0.3454 0.0620 0.3705
9 Fe 0.3449 0.6290 0.9368
10 Fe 0.3460 0.3460 0.1545
11 Fe 0.3458 0.8450 0.6528
12 Fe 0.4401 0.4401 0.5591
13 Fe 0.4873 0.0021 0.9962
14 Fe 0.6294 0.0614 0.6538
15 Fe 0.6290 0.3449 0.9368
16 Fe 0.6872 0.6872 0.7966
17 Fe 0.8450 0.3458 0.6528
18 Co 0.2073 0.6880 0.3112
19 Co 0.6880 0.2073 0.3112
20 C 0.3454 0.8445 0.1547
21 C 0.8445 0.3454 0.1547
22 C 0.8452 0.8452 0.6536

Most intense lines, 2θ from 5° to 70°, in order of rising 2θ:
two_theta, intensity
29.73, 51.1
32.23, 19.1
35.73, 50.7
37.45, 43.3
41.49, 100.0
42.00, 84.5
42.06, 44.6
43.05, 17.8
43.57, 42.7
61.34, 18.2

=====

No. 9
Structure and computed PXRD pattern of GdCoC (a PBE-relaxed structure; copper Kα).
Peak positions follow from Bragg's law for the DFT cell and can differ from measured ones.

Atomic structure:
Cell lengths 3.6285, 3.6285, 7.0782 Å; angles 90.00, 90.00, 90.00 degrees
Atoms (fractional coordinates):
1 Gd 0.0000 0.0000 0.2500
2 Gd 0.0000 0.0000 0.7500
3 Co 0.5000 0.5000 0.0000
4 Co 0.5000 0.5000 0.5000
5 C 0.0000 0.5000 0.0000
6 C 0.5000 0.0000 0.5000

Most intense lines, 2θ from 5° to 70°, in order of rising 2θ:
two_theta, intensity
24.53, 22.9
25.16, 8.1
34.97, 46.9
35.43, 100.0
43.57, 12.7
50.29, 19.7
51.65, 9.1
56.73, 5.0
63.02, 36.3
63.91, 16.1

=====

No. 10
Structure and computed PXRD pattern of Co12Ge4C (a PBE-relaxed structure; copper Kα).
Peak positions follow from Bragg's law for the DFT cell and can differ from measured ones.

Atomic structure:
Cell lengths 3.6541, 3.6541, 14.1372 Å; angles 90.00, 90.00, 90.00 degrees
Atoms (fractional coordinates):
1 Co 0.0000 0.0000 0.1225
2 Co 0.0000 0.0000 0.3687
3 Co 0.0000 0.0000 0.6313
4 Co 0.0000 0.0000 0.8775
5 Co 0.0000 0.5000 0.0000
6 Co 0.0000 0.5000 0.2445
7 Co 0.0000 0.5000 0.5000
8 Co 0.0000 0.5000 0.7555
9 Co 0.5000 0.0000 0.0000
10 Co 0.5000 0.0000 0.2445
11 Co 0.5000 0.0000 0.5000
12 Co 0.5000 0.0000 0.7555
13 Ge 0.5000 0.5000 0.1211
14 Ge 0.5000 0.5000 0.3632
15 Ge 0.5000 0.5000 0.6368
16 Ge 0.5000 0.5000 0.8789
17 C 0.0000 0.0000 0.5000

Most intense lines, 2θ from 5° to 70°, in order of rising 2θ:
two_theta, intensity
35.33, 0.6
43.38, 100.0
44.88, 0.5
47.68, 1.3
49.92, 34.4
51.73, 14.1
69.36, 0.5